Theoretical X-ray diffraction stick pattern
Compound: Li9Mn2Co5O16
Radiation: Cu Kα (λ = 1.5418 Å)
Structure: DFT lattice parameters and positions (GGA+U)

Most intense lines, 2θ = 15–90°, sorted by position:
| 2θ/deg | I/Imax |
| --- | --- |
| 18.35 | 100 |
| 34.28 | 20 |
| 36.24 | 12 |
| 36.78 | 11 |
| 41.22 | 34 |
| 44.11 | 27 |
| 44.82 | 25 |
| 47.25 | 11 |
| 61.66 | 8 |
| 62.25 | 8 |
| 62.52 | 15 |
| 64.00 | 9 |

Cell: 3.015 5.062 19.124 Å, 92.42 93.35 91.58°
Fractional positions:
Li  0.000  0.000  0.000
Li  0.001  0.124  0.376
Li  0.003  0.877  0.627
Li  0.009  0.371  0.125
Li  0.500  0.750  0.752
Li  0.501  0.001  0.501
Li  0.502  0.499  0.001
Li  0.506  0.247  0.250
Li  0.993  0.628  0.876
Mn  0.004  0.753  0.248
Mn  0.492  0.623  0.377
Co  0.002  0.245  0.751
Co  0.006  0.498  0.504
Co  0.493  0.122  0.880
Co  0.509  0.377  0.628
Co  0.512  0.878  0.118
O  0.025  0.961  0.813
O  0.030  0.453  0.311
O  0.031  0.697  0.067
O  0.042  0.207  0.566
O  0.472  0.922  0.314
O  0.473  0.402  0.813
O  0.480  0.332  0.441
O  0.499  0.157  0.069
O  0.502  0.842  0.930
O  0.525  0.662  0.566
O  0.528  0.086  0.689
O  0.528  0.593  0.185
O  0.961  0.791  0.442
O  0.967  0.302  0.933
O  0.977  0.046  0.187
O  0.977  0.537  0.690

***

Theoretical X-ray diffraction stick pattern
Compound: Ba2Sr6Co3Cu5O24
Radiation: Cu Kα (λ = 1.5418 Å)
Structure: DFT lattice parameters and positions (GGA+U)

Most intense lines, 2θ = 15–90°, sorted by position:
| 2θ/deg | I/Imax |
| --- | --- |
| 32.17 | 100 |
| 32.29 | 99 |
| 39.75 | 22 |
| 46.03 | 24 |
| 46.16 | 24 |
| 46.49 | 23 |
| 57.34 | 25 |
| 57.43 | 25 |
| 57.64 | 25 |
| 67.24 | 14 |
| 67.49 | 14 |
| 85.67 | 14 |

Cell: 7.814 7.866 7.888 Å, 90.00 90.07 90.00°
Fractional positions:
Ba  0.249  0.000  0.251
Ba  0.751  0.000  0.749
Sr  0.247  0.502  0.252
Sr  0.248  0.000  0.749
Sr  0.248  0.502  0.748
Sr  0.752  0.000  0.251
Sr  0.752  0.502  0.252
Sr  0.753  0.502  0.748
Co  0.500  0.254  0.000
Co  0.500  0.254  0.500
Co  0.500  0.748  0.000
Cu  0.000  0.252  0.000
Cu  0.000  0.252  0.500
Cu  0.000  0.750  0.000
Cu  0.000  0.751  0.500
Cu  0.500  0.751  0.500
O  0.000  0.002  0.000
O  0.000  0.003  0.500
O  0.000  0.500  0.000
O  0.000  0.500  0.500
O  0.005  0.260  0.751
O  0.005  0.743  0.751
O  0.250  0.744  0.505
O  0.253  0.746  0.997
O  0.261  0.257  0.504
O  0.263  0.256  0.996
O  0.497  0.746  0.753
O  0.498  0.257  0.752
O  0.500  0.000  0.500
O  0.500  0.504  0.500
O  0.500  0.509  0.000
O  0.500  0.992  0.000
O  0.502  0.257  0.248
O  0.503  0.746  0.247
O  0.737  0.256  0.004
O  0.739  0.257  0.496
O  0.747  0.746  0.003
O  0.750  0.744  0.495
O  0.995  0.260  0.249
O  0.995  0.743  0.249

***

Theoretical X-ray diffraction stick pattern
Compound: Li3Fe2Si2O8
Radiation: Cu Kα (λ = 1.5418 Å)
Structure: DFT lattice parameters and positions (GGA+U)

Most intense lines, 2θ = 15–90°, sorted by position:
| 2θ/deg | I/Imax |
| --- | --- |
| 15.82 | 77 |
| 21.42 | 59 |
| 22.08 | 72 |
| 23.62 | 32 |
| 23.76 | 100 |
| 28.49 | 62 |
| 31.96 | 81 |
| 33.54 | 57 |
| 35.46 | 73 |
| 45.80 | 21 |
| 55.93 | 24 |
| 58.97 | 43 |

Cell: 8.328 10.689 8.271 Å, 90.00 104.81 90.00°
Fractional positions:
Li  0.146  0.154  0.144
Li  0.146  0.346  0.644
Li  0.231  0.075  0.477
Li  0.231  0.425  0.977
Li  0.334  0.658  0.837
Li  0.334  0.842  0.337
Li  0.666  0.158  0.663
Li  0.666  0.342  0.163
Li  0.769  0.575  0.023
Li  0.769  0.925  0.523
Li  0.854  0.654  0.356
Li  0.854  0.846  0.856
Fe  0.095  0.662  0.101
Fe  0.095  0.838  0.601
Fe  0.412  0.163  0.908
Fe  0.412  0.337  0.408
Fe  0.588  0.663  0.592
Fe  0.588  0.837  0.092
Fe  0.905  0.162  0.399
Fe  0.905  0.338  0.899
Si  0.039  0.092  0.774
Si  0.039  0.408  0.274
Si  0.470  0.588  0.216
Si  0.470  0.912  0.716
Si  0.530  0.088  0.284
Si  0.530  0.412  0.784
Si  0.961  0.592  0.726
Si  0.961  0.908  0.226
O  0.023  0.053  0.272
O  0.023  0.447  0.772
O  0.098  0.159  0.618
O  0.098  0.341  0.118
O  0.118  0.665  0.685
O  0.118  0.835  0.185
O  0.207  0.104  0.936
O  0.207  0.396  0.436
O  0.309  0.596  0.054
O  0.309  0.904  0.554
O  0.374  0.160  0.341
O  0.374  0.340  0.841
O  0.440  0.667  0.377
O  0.440  0.833  0.877
O  0.493  0.561  0.735
O  0.493  0.939  0.235
O  0.507  0.061  0.765
O  0.507  0.439  0.265
O  0.560  0.167  0.123
O  0.560  0.333  0.623
O  0.626  0.660  0.159
O  0.626  0.840  0.659
O  0.691  0.096  0.446
O  0.691  0.404  0.946
O  0.793  0.604  0.564
O  0.793  0.896  0.064
O  0.882  0.165  0.815
O  0.882  0.335  0.315
O  0.902  0.659  0.882
O  0.902  0.841  0.382
O  0.977  0.553  0.228
O  0.977  0.947  0.728